Cs2V4O9: calculated powder X-ray diffraction pattern (Cu Kα (λ = 1.5418 Å)), based on a DFT-relaxed cell (GGA+U, Alexandria).
Kinematic intensities with the Lorentz-polarization factor, no thermal factor.

```
Cs2V4O9
1.0
-2.925 2.925 15.585
2.925 -2.925 15.585
2.925 2.925 -15.585
Cs V O
4 8 18
Direct
0.108 0.625 0.983
0.375 0.358 0.483
0.642 0.125 0.017
0.875 0.892 0.517
0.128 0.062 0.642
0.236 0.669 0.858
0.331 0.188 0.566
0.419 0.486 0.358
0.514 0.872 0.934
0.622 0.764 0.434
0.812 0.378 0.142
0.938 0.581 0.066
0.086 0.386 0.939
0.106 0.060 0.517
0.136 0.336 0.439
0.207 0.190 0.546
0.250 0.750 0.500
0.303 0.864 0.200
0.339 0.793 0.983
0.411 0.894 0.954
0.447 0.147 0.061
0.500 0.500 0.000
0.543 0.589 0.483
0.614 0.553 0.700
0.644 0.661 0.454
0.664 0.103 0.800
0.810 0.356 0.017
0.853 0.914 0.300
0.897 0.697 0.561
0.940 0.457 0.046
```

Main lines, by angle (2θ = 5–70°):
- 22.24°, d = 3.998 Å, rel. 33
- 22.82°, d = 3.896 Å, rel. 33
- 27.56°, d = 3.236 Å, rel. 100
- 30.56°, d = 2.925 Å, rel. 52
- 32.70°, d = 2.738 Å, rel. 14
- 36.08°, d = 2.489 Å, rel. 14
- 38.49°, d = 2.339 Å, rel. 17
- 46.32°, d = 1.960 Å, rel. 24
- 49.63°, d = 1.837 Å, rel. 13
- 52.51°, d = 1.743 Å, rel. 21